(1)
Starting from the GGA+U geometry in the Materials Project, the powder diffractogram of Eu3BWO9 was computed for CuKα.
Intensities are scaled so that the largest is 100.

Cell and atoms:
a b c (Å): 8.823 8.823 5.537
angles (deg): 90.00 90.00 120.00
Element x y z (fractional)
Eu1 0.076 0.356 0.000
Eu2 0.281 0.924 0.000
Eu3 0.356 0.281 0.500
Eu4 0.644 0.719 0.000
Eu5 0.719 0.076 0.500
Eu6 0.924 0.644 0.500
B1 0.000 0.000 0.170
B2 0.000 0.000 0.670
W1 0.333 0.667 0.540
W2 0.667 0.333 0.040
O1 0.056 0.177 0.663
O2 0.121 0.944 0.663
O3 0.135 0.612 0.759
O4 0.177 0.121 0.163
O5 0.205 0.738 0.333
O6 0.262 0.467 0.333
O7 0.388 0.523 0.759
O8 0.467 0.205 0.833
O9 0.477 0.865 0.759
O10 0.523 0.135 0.259
O11 0.533 0.795 0.333
O12 0.612 0.477 0.259
O13 0.738 0.533 0.833
O14 0.795 0.262 0.833
O15 0.823 0.879 0.663
O16 0.865 0.388 0.259
O17 0.879 0.056 0.163
O18 0.944 0.823 0.163

Main lines, by angle (15° ≤ 2θ ≤ 90°):
- 25.82°, intensity 100
- 28.38°, intensity 94
- 30.96°, intensity 20
- 32.34°, intensity 24
- 35.04°, intensity 26
- 35.24°, intensity 29
- 42.66°, intensity 20
- 45.38°, intensity 25
- 48.57°, intensity 34
- 54.94°, intensity 37


(2)
Starting from the GGA+U geometry in the Materials Project, the powder diffractogram of KFeBP2HO9 was computed for CuKα.
Intensities are scaled so that the largest is 100.

Cell and atoms:
a b c (Å): 9.532 8.319 9.752
angles (deg): 90.00 102.02 90.00
Element x y z (fractional)
K1 0.194 0.088 0.076
K2 0.194 0.412 0.576
K3 0.806 0.588 0.424
K4 0.806 0.912 0.924
Fe1 0.209 0.655 0.933
Fe2 0.209 0.845 0.433
Fe3 0.791 0.155 0.567
Fe4 0.791 0.345 0.067
B1 0.332 0.068 0.692
B2 0.332 0.432 0.192
B3 0.668 0.568 0.808
B4 0.668 0.932 0.308
P1 0.078 0.556 0.211
P2 0.078 0.944 0.711
P3 0.421 0.747 0.719
P4 0.421 0.753 0.219
P5 0.579 0.247 0.781
P6 0.579 0.253 0.281
P7 0.922 0.056 0.289
P8 0.922 0.444 0.789
H1 0.392 0.094 0.499
H2 0.392 0.406 0.999
H3 0.608 0.594 0.001
H4 0.608 0.906 0.501
O1 0.073 0.513 0.806
O2 0.073 0.987 0.306
O3 0.096 0.663 0.086
O4 0.096 0.837 0.586
O5 0.111 0.646 0.353
O6 0.111 0.854 0.853
O7 0.189 0.089 0.725
O8 0.189 0.411 0.225
O9 0.309 0.058 0.535
O10 0.309 0.442 0.035
O11 0.343 0.633 0.800
O12 0.343 0.867 0.300
O13 0.372 0.724 0.560
O14 0.372 0.776 0.060
O15 0.409 0.573 0.263
O16 0.409 0.927 0.763
O17 0.412 0.216 0.739
O18 0.412 0.284 0.239
O19 0.588 0.716 0.761
O20 0.588 0.784 0.261
O21 0.591 0.073 0.237
O22 0.591 0.427 0.737
O23 0.628 0.224 0.940
O24 0.628 0.276 0.440
O25 0.657 0.133 0.700
O26 0.657 0.367 0.200
O27 0.691 0.558 0.965
O28 0.691 0.942 0.465
O29 0.811 0.589 0.775
O30 0.811 0.911 0.275
O31 0.889 0.146 0.147
O32 0.889 0.354 0.647
O33 0.904 0.163 0.414
O34 0.904 0.337 0.914
O35 0.927 0.013 0.694
O36 0.927 0.487 0.194

Main lines, by angle (15° ≤ 2θ ≤ 90°):
- 19.05°, intensity 44
- 21.48°, intensity 31
- 23.42°, intensity 56
- 23.75°, intensity 76
- 25.97°, intensity 100
- 29.74°, intensity 63
- 30.30°, intensity 35
- 31.36°, intensity 81
- 31.53°, intensity 67
- 32.77°, intensity 33


(3)
Starting from the GGA+U geometry in the Materials Project, the powder diffractogram of KFeBP2HO9 was computed for CuKα.
Intensities are scaled so that the largest is 100.

Cell and atoms:
a b c (Å): 5.170 8.110 8.350
angles (deg): 85.89 80.84 86.20
Element x y z (fractional)
K1 0.221 0.328 0.112
K2 0.779 0.672 0.888
Fe1 0.236 0.804 0.193
Fe2 0.764 0.196 0.807
B1 0.374 0.736 0.553
B2 0.626 0.264 0.447
P1 0.280 0.939 0.818
P2 0.298 0.413 0.696
P3 0.702 0.587 0.304
P4 0.720 0.061 0.182
H1 0.021 0.827 0.480
H2 0.979 0.173 0.520
O1 0.002 0.004 0.210
O2 0.048 0.351 0.797
O3 0.206 0.811 0.434
O4 0.229 0.599 0.649
O5 0.264 0.798 0.955
O6 0.369 0.319 0.536
O7 0.430 0.857 0.662
O8 0.439 0.081 0.849
O9 0.470 0.597 0.207
O10 0.530 0.403 0.793
O11 0.561 0.919 0.151
O12 0.570 0.143 0.338
O13 0.631 0.681 0.464
O14 0.736 0.202 0.045
O15 0.771 0.401 0.351
O16 0.794 0.189 0.566
O17 0.952 0.649 0.203
O18 0.998 0.996 0.790

Main lines, by angle (15° ≤ 2θ ≤ 90°):
- 20.08°, intensity 30
- 21.60°, intensity 66
- 25.63°, intensity 33
- 27.40°, intensity 68
- 27.94°, intensity 62
- 28.93°, intensity 100
- 31.46°, intensity 36
- 32.65°, intensity 29
- 33.86°, intensity 40
- 35.22°, intensity 48


(4)
Starting from the GGA+U geometry in the Materials Project, the powder diffractogram of NaFeBP2H3O10 was computed for CuKα.
Intensities are scaled so that the largest is 100.

Cell and atoms:
a b c (Å): 6.708 6.708 9.280
angles (deg): 110.20 110.20 76.70
Element x y z (fractional)
Na1 0.132 0.868 0.750
Na2 0.868 0.132 0.250
Fe1 0.000 0.500 0.000
Fe2 0.500 0.000 0.500
B1 0.473 0.527 0.250
B2 0.527 0.473 0.750
P1 0.154 0.292 0.676
P2 0.292 0.154 0.176
P3 0.708 0.846 0.824
P4 0.846 0.708 0.324
H1 0.000 0.500 0.500
H2 0.310 0.660 0.423
H3 0.340 0.690 0.077
H4 0.500 0.000 0.000
H5 0.660 0.310 0.923
H6 0.690 0.340 0.577
O1 0.036 0.637 0.458
O2 0.071 0.274 0.109
O3 0.075 0.275 0.807
O4 0.274 0.071 0.609
O5 0.275 0.075 0.307
O6 0.308 0.470 0.749
O7 0.315 0.567 0.101
O8 0.363 0.964 0.042
O9 0.433 0.685 0.399
O10 0.470 0.308 0.249
O11 0.530 0.692 0.751
O12 0.567 0.315 0.601
O13 0.637 0.036 0.958
O14 0.685 0.433 0.899
O15 0.692 0.530 0.251
O16 0.725 0.925 0.693
O17 0.726 0.929 0.391
O18 0.925 0.725 0.193
O19 0.929 0.726 0.891
O20 0.964 0.363 0.542

Main lines, by angle (15° ≤ 2θ ≤ 90°):
- 15.05°, intensity 30
- 18.79°, intensity 60
- 20.10°, intensity 19
- 21.93°, intensity 32
- 27.43°, intensity 39
- 29.02°, intensity 16
- 30.36°, intensity 100
- 31.20°, intensity 21
- 41.53°, intensity 20
- 48.92°, intensity 15


Copy entry 3 word for word.
Starting from the GGA+U geometry in the Materials Project, the powder diffractogram of KFeBP2HO9 was computed for CuKα.
Intensities are scaled so that the largest is 100.

Cell and atoms:
a b c (Å): 5.170 8.110 8.350
angles (deg): 85.89 80.84 86.20
Element x y z (fractional)
K1 0.221 0.328 0.112
K2 0.779 0.672 0.888
Fe1 0.236 0.804 0.193
Fe2 0.764 0.196 0.807
B1 0.374 0.736 0.553
B2 0.626 0.264 0.447
P1 0.280 0.939 0.818
P2 0.298 0.413 0.696
P3 0.702 0.587 0.304
P4 0.720 0.061 0.182
H1 0.021 0.827 0.480
H2 0.979 0.173 0.520
O1 0.002 0.004 0.210
O2 0.048 0.351 0.797
O3 0.206 0.811 0.434
O4 0.229 0.599 0.649
O5 0.264 0.798 0.955
O6 0.369 0.319 0.536
O7 0.430 0.857 0.662
O8 0.439 0.081 0.849
O9 0.470 0.597 0.207
O10 0.530 0.403 0.793
O11 0.561 0.919 0.151
O12 0.570 0.143 0.338
O13 0.631 0.681 0.464
O14 0.736 0.202 0.045
O15 0.771 0.401 0.351
O16 0.794 0.189 0.566
O17 0.952 0.649 0.203
O18 0.998 0.996 0.790

Main lines, by angle (15° ≤ 2θ ≤ 90°):
- 20.08°, intensity 30
- 21.60°, intensity 66
- 25.63°, intensity 33
- 27.40°, intensity 68
- 27.94°, intensity 62
- 28.93°, intensity 100
- 31.46°, intensity 36
- 32.65°, intensity 29
- 33.86°, intensity 40
- 35.22°, intensity 48